Entry 1:
Starting from a structure optimized by DFT (GGA-PBE), the powder diffraction line list of Ba5SrCa8 was simulated for CuKα.

Structure:
```
14
Lattice="-5.2692 5.2692 6.8131 5.2692 -5.2692 6.8131 5.2692 5.2692 -6.8131" Properties=species:S:1:pos:R:3 pbc="T T T"
Ba 0.0000 0.0000 0.0000
Ba 3.7851 2.6506 -0.5909
Ba 2.6186 -1.4841 7.4039
Ba 2.6506 6.7533 0.5909
Ba 1.4841 2.6186 6.2222
Sr 5.2692 0.0000 3.4065
Ca 1.6699 -0.6559 3.4774
Ca 3.5993 5.9251 -3.3357
Ca 0.9710 3.2850 2.3043
Ca 4.6133 3.5993 3.3357
Ca -1.9841 4.2982 4.5088
Ca -0.9710 7.2533 2.3043
Ca 0.6559 1.6699 10.1487
Ca 1.9841 6.2401 4.5088
```

Top 10 peaks for 2θ = 15–90°, low angle first:
- 2θ = 19.93°, d 4.454, intensity 88
- 2θ = 21.31°, d 4.170, intensity 37
- 2θ = 26.19°, d 3.403, intensity 70
- 2θ = 26.75°, d 3.333, intensity 44
- 2θ = 27.27°, d 3.270, intensity 100
- 2θ = 28.82°, d 3.098, intensity 34
- 2θ = 29.85°, d 2.994, intensity 27
- 2θ = 31.29°, d 2.859, intensity 46
- 2θ = 43.43°, d 2.084, intensity 32
- 2θ = 45.88°, d 1.978, intensity 27

=====

Entry 2:
Starting from a structure optimized by DFT (GGA-PBE), the powder diffraction line list of Ba5Sr7Ca was simulated for CuKα.

Structure:
```
26
Lattice="14.3336 -2.1319 0.0000 14.3336 2.1319 0.0000 -10.6182 0.0000 24.4391" Properties=species:S:1:pos:R:3 pbc="T T T"
Ba 0.0000 0.0000 0.0000
Ba 23.3490 0.0000 12.2209
Ba -3.2101 0.0000 22.4939
Ba 1.3735 0.0000 14.0852
Ba 4.1704 0.0000 20.5148
Ba 9.9270 0.0000 8.3764
Ba 8.1043 0.0000 16.0665
Ba 13.8760 0.0000 3.9236
Ba 16.6577 0.0000 10.3548
Ba 21.2603 0.0000 1.9495
Sr -6.4254 0.0000 19.7231
Sr -0.5833 0.0000 7.7813
Sr -2.5228 0.0000 15.3909
Sr 3.2845 0.0000 2.7436
Sr 0.6172 0.0000 18.1101
Sr 5.2893 0.0000 12.8153
Sr 10.6314 0.0000 1.0100
Sr 7.4184 0.0000 23.4315
Sr 12.7419 0.0000 11.6262
Sr 17.4201 0.0000 6.3323
Sr 14.7640 0.0000 21.6977
Sr 20.5544 0.0000 9.0533
Sr 18.6142 0.0000 16.6579
Sr 24.4721 0.0000 4.7206
Ca 6.6046 0.0000 5.5433
Ca 11.4361 0.0000 18.9001
```

Top 10 peaks for 2θ = 15–90°, low angle first:
- 2θ = 25.14°, d 3.542, intensity 100
- 2θ = 25.34°, d 3.515, intensity 44
- 2θ = 28.16°, d 3.169, intensity 37
- 2θ = 29.66°, d 3.012, intensity 40
- 2θ = 41.22°, d 2.190, intensity 11
- 2θ = 41.53°, d 2.175, intensity 13
- 2θ = 42.40°, d 2.132, intensity 13
- 2θ = 49.90°, d 1.827, intensity 19
- 2θ = 50.04°, d 1.823, intensity 14
- 2θ = 51.68°, d 1.769, intensity 11

=====

Entry 3:
Starting from a structure optimized by DFT (GGA-PBE), the powder diffraction line list of Ba5Sr6Ca2 was simulated for CuKα.

Structure:
```
26
Lattice="13.9598 0.0000 0.0000 0.0000 24.9043 0.0000 0.0000 0.0000 4.3042" Properties=species:S:1:pos:R:3 pbc="T T T"
Ba 0.0000 0.0000 0.0000
Ba 0.6100 7.2362 0.0000
Ba 2.7548 14.3951 0.0000
Ba 4.2252 1.9429 0.0000
Ba 6.3699 19.6883 0.0000
Ba 6.9799 12.4522 0.0000
Ba 7.5899 5.2160 0.0000
Ba 9.7347 22.9614 0.0000
Ba 11.2051 10.5093 0.0000
Ba 13.3498 17.6681 0.0000
Sr 0.8144 3.6424 2.1521
Sr 1.1442 10.8423 2.1521
Sr 2.6660 21.7200 0.0000
Sr 4.3140 9.2679 0.0000
Sr 5.8358 23.2945 2.1521
Sr 6.1655 16.0946 2.1521
Sr 7.7943 8.8098 2.1521
Sr 8.1241 1.6098 2.1521
Sr 9.6459 15.6365 0.0000
Sr 11.2939 3.1843 0.0000
Sr 12.8157 14.0620 2.1521
Sr 13.1454 21.2619 2.1521
Ca 2.8738 18.2807 2.1521
Ca 4.1062 5.8286 2.1521
Ca 9.8537 19.0758 2.1521
Ca 11.0861 6.6236 2.1521
```

Top 10 peaks for 2θ = 15–90°, low angle first:
- 2θ = 24.15°, d 3.686, intensity 38
- 2θ = 25.81°, d 3.451, intensity 100
- 2θ = 25.96°, d 3.432, intensity 32
- 2θ = 26.59°, d 3.352, intensity 48
- 2θ = 28.26°, d 3.158, intensity 52
- 2θ = 28.82°, d 3.097, intensity 18
- 2θ = 30.27°, d 2.953, intensity 26
- 2θ = 41.95°, d 2.153, intensity 28
- 2θ = 46.43°, d 1.956, intensity 18
- 2θ = 49.94°, d 1.826, intensity 32

=====

Entry 4:
Starting from a structure optimized by DFT (GGA-PBE), the powder diffraction line list of Ba5Sr5Ca was simulated for CuKα.

Structure:
```
11
Lattice="7.3406 0.0000 0.0000 -3.6703 6.3571 0.0000 0.0000 0.0000 14.1345" Properties=species:S:1:pos:R:3 pbc="T T T"
Ba 0.0000 0.0000 3.4304
Ba 0.0000 0.0000 10.7042
Ba 1.8821 1.0866 0.0000
Ba 5.4585 1.0866 0.0000
Ba 3.6703 4.1839 0.0000
Sr 0.0000 0.0000 7.0673
Sr 0.0000 4.2381 2.6848
Sr 0.0000 4.2381 11.4497
Sr 3.6703 2.1190 4.7382
Sr 3.6703 2.1190 9.3964
Ca 0.0000 4.2381 7.0673
```

Top 10 peaks for 2θ = 15–90°, low angle first:
- 2θ = 23.50°, d 3.785, intensity 100
- 2θ = 24.25°, d 3.670, intensity 86
- 2θ = 27.38°, d 3.257, intensity 75
- 2θ = 28.79°, d 3.101, intensity 73
- 2θ = 28.91°, d 3.089, intensity 51
- 2θ = 30.86°, d 2.898, intensity 67
- 2θ = 38.08°, d 2.363, intensity 35
- 2θ = 42.22°, d 2.140, intensity 37
- 2θ = 45.66°, d 1.987, intensity 34
- 2θ = 49.68°, d 1.835, intensity 41

=====

Entry 5:
Starting from a structure optimized by DFT (GGA-PBE), the powder diffraction line list of Ba3Sr5Ca4 was simulated for CuKα.

Structure:
```
12
Lattice="9.2552 -3.5118 0.0000 9.2552 3.5118 0.0000 -4.8548 0.0000 9.8186" Properties=species:S:1:pos:R:3 pbc="T T T"
Ba 0.0000 0.0000 0.0000
Ba 3.0479 0.0000 6.1524
Ba 10.6078 0.0000 3.6662
Sr -0.6723 0.0000 4.1569
Sr -0.4857 0.0000 8.5239
Sr 9.2552 0.0000 0.0000
Sr 14.1413 0.0000 1.2946
Sr 14.3279 0.0000 5.6617
Ca 2.9235 0.0000 2.3399
Ca 6.5543 0.0000 2.9688
Ca 7.1013 0.0000 6.8497
Ca 10.7321 0.0000 7.4787
```

Top 10 peaks for 2θ = 15–90°, low angle first:
- 2θ = 21.04°, d 4.223, intensity 30
- 2θ = 24.83°, d 3.586, intensity 54
- 2θ = 25.13°, d 3.543, intensity 38
- 2θ = 25.36°, d 3.512, intensity 100
- 2θ = 27.38°, d 3.257, intensity 79
- 2θ = 27.84°, d 3.205, intensity 57
- 2θ = 27.95°, d 3.192, intensity 38
- 2θ = 28.35°, d 3.148, intensity 32
- 2θ = 35.79°, d 2.509, intensity 42
- 2θ = 45.94°, d 1.975, intensity 31

=====

Entry 6:
Starting from a structure optimized by DFT (GGA-PBE), the powder diffraction line list of Ba4SrCa7 was simulated for CuKα.

Structure:
```
12
Lattice="6.9161 -3.4232 0.0000 6.9161 3.4232 0.0000 -5.8844 0.0000 13.1670" Properties=species:S:1:pos:R:3 pbc="T T T"
Ba -0.3956 0.0000 3.8844
Ba 3.6856 0.0000 2.8764
Ba 4.2623 0.0000 10.2906
Ba 8.3435 0.0000 9.2826
Sr 6.9161 0.0000 0.0000
Ca 0.0000 0.0000 0.0000
Ca -1.5454 0.0000 8.1131
Ca -2.4547 0.0000 12.1173
Ca 2.1209 0.0000 6.8977
Ca 5.8270 0.0000 6.2694
Ca 10.4026 0.0000 1.0497
Ca 9.4932 0.0000 5.0539
```

Top 10 peaks for 2θ = 15–90°, low angle first:
- 2θ = 17.35°, d 5.111, intensity 40
- 2θ = 23.33°, d 3.812, intensity 21
- 2θ = 24.88°, d 3.578, intensity 21
- 2θ = 26.04°, d 3.422, intensity 100
- 2θ = 26.20°, d 3.401, intensity 28
- 2θ = 27.38°, d 3.258, intensity 62
- 2θ = 27.97°, d 3.190, intensity 17
- 2θ = 29.79°, d 2.999, intensity 22
- 2θ = 36.29°, d 2.475, intensity 23
- 2θ = 37.27°, d 2.413, intensity 21